Computed powder X-ray diffraction pattern
Compound: Tm12Sb2Pb5
Radiation: Cu Kα (λ = 1.5418 Å)
Structure: a DFT-relaxed cell (PBE, Alexandria)
Kinematic intensities with the Lorentz-polarization factor, no thermal factor.

Principal peaks in the range 5 to 70 degrees two-theta, in order of rising 2θ:
d/Å, Position (°2θ), I/Imax, index
2.962, 30.17, 100.0, 2 2 -2
2.920, 30.61, 23.7, 4 2 0
2.704, 33.13, 65.7, 5 1 -2
2.669, 33.57, 77.4, 0 0 3
2.587, 34.67, 46.2, 4 2 1
2.566, 34.96, 45.9, 5 1 1
2.557, 35.10, 25.2, 3 3 0
2.395, 37.55, 23.6, 1 3 -2
2.202, 40.99, 27.0, 0 4 0
1.497, 61.98, 26.7, 5 5 -2

Cell and atoms:
Unit cell a=16.1521 b=8.8082 c=8.2805 alpha=90.00 beta=104.95 gamma=90.00
Space group C2/m (No. 12)
Inequivalent atoms, fractional coordinates:
Tm  0.0102  0.0000  0.2989 [4 per cell]
Tm  0.1127  0.5000  0.3533 [4 per cell]
Tm  0.1152  0.2013  0.0415 [8 per cell]
Tm  0.1834  0.2010  0.6751 [8 per cell]
Sb  0.0000  0.2869  0.5000 [4 per cell]
Pb  0.0000  0.5000  0.0000 [2 per cell]
Pb  0.2099  0.0000  0.3730 [4 per cell]
Pb  0.2113  0.5000  0.0000 [4 per cell]